Theoretical powder X-ray diffraction pattern
Compound: Pr2YTmS4
Radiation: Cu Ka
Structure: a structure optimized by DFT (GGA-PBE)
Kinematic intensities with the Lorentz-polarization factor, no thermal factor.

Structural model:
```
data_Pr2YTmS4
_symmetry_space_group_name_H-M 'P 1 2/m 1'
_symmetry_Int_Tables_number 10
_symmetry_space_group_name_Hall '-P 2y'
_cell_length_a 6.8402
_cell_length_b 3.9236
_cell_length_c 7.0873
_cell_angle_alpha 90.00
_cell_angle_beta 108.57
_cell_angle_gamma 90.00
loop_
_atom_site_label
_atom_site_fract_x
_atom_site_fract_y
_atom_site_fract_z
Pr1 0.0000 0.0000 0.0000
Pr2 0.5000 0.5000 0.0000
Y1 0.0000 0.5000 0.5000
Tm1 0.5000 0.0000 0.5000
S1 0.2463 0.0000 0.7290
S2 0.2617 0.5000 0.2734
```

Main lines, sorted by position (15 to 90 degrees two-theta):
2θ (°), d_spacing, I_rel, index
26.5, 3.359, 195, 0 0 2
27.5, 3.242, 174, 2 0 0
27.7, 3.223, 342, 1 1 -1
31.7, 2.823, 1000, 1 1 1
44.6, 2.032, 124, 2 0 2
44.8, 2.023, 245, 1 1 -3
46.0, 1.971, 231, 3 1 -1
54.7, 1.679, 120, 0 0 4


Theoretical powder X-ray diffraction pattern
Compound: Tb4Er2TmSc
Radiation: Cu Ka
Structure: a structure optimized by DFT (GGA-PBE)
Kinematic intensities with the Lorentz-polarization factor, no thermal factor.

Structural model:
```
data_Tb4Er2TmSc
_symmetry_space_group_name_H-M 'P 4/m m m'
_symmetry_Int_Tables_number 123
_symmetry_space_group_name_Hall '-P 4 2'
_cell_length_a 4.9636
_cell_length_b 4.9636
_cell_length_c 9.8410
_cell_angle_alpha 90.00
_cell_angle_beta 90.00
_cell_angle_gamma 90.00
loop_
_atom_site_label
_atom_site_fract_x
_atom_site_fract_y
_atom_site_fract_z
Tb1 0.0000 0.5000 0.2456
Er1 0.0000 0.0000 0.0000
Er2 0.5000 0.5000 0.5000
Tm1 0.0000 0.0000 0.5000
Sc1 0.5000 0.5000 0.0000
```

Main lines, sorted by position (15 to 90 degrees two-theta):
2θ (°), d_spacing, I_rel, index
31.3, 2.857, 1000, 1 1 2
36.2, 2.482, 340, 2 0 0
36.5, 2.460, 165, 0 0 4
52.1, 1.755, 120, 2 2 0
52.4, 1.747, 235, 2 0 4
62.1, 1.495, 283, 3 1 2
62.5, 1.486, 137, 1 1 6
65.3, 1.429, 121, 2 2 4


Theoretical powder X-ray diffraction pattern
Compound: Zn3In2S6
Radiation: Cu Ka
Structure: a structure optimized by DFT (GGA-PBE)
Kinematic intensities with the Lorentz-polarization factor, no thermal factor.

Structural model:
```
data_Zn3In2S6
_symmetry_space_group_name_H-M 'P 3 m 1'
_symmetry_Int_Tables_number 156
_symmetry_space_group_name_Hall 'P 3 -2"'
_cell_length_a 3.9112
_cell_length_b 3.9112
_cell_length_c 18.4560
_cell_angle_alpha 90.00
_cell_angle_beta 90.00
_cell_angle_gamma 120.00
loop_
_atom_site_label
_atom_site_fract_x
_atom_site_fract_y
_atom_site_fract_z
Zn1 0.0000 0.0000 0.0000
Zn2 0.0000 0.0000 0.4238
Zn3 0.3333 0.6667 0.8324
In1 0.3333 0.6667 0.2399
In2 0.6667 0.3333 0.6267
S1 0.0000 0.0000 0.1845
S2 0.0000 0.0000 0.5469
S3 0.0000 0.0000 0.8660
S4 0.3333 0.6667 0.0374
S5 0.3333 0.6667 0.3777
S6 0.3333 0.6667 0.6983
```

Main lines, sorted by position (15 to 90 degrees two-theta):
2θ (°), d_spacing, I_rel, index
24.1, 3.691, 542, 0 0 5
26.8, 3.332, 407, 1 0 1
28.1, 3.180, 1000, 1 0 2
32.8, 2.730, 301, 0 1 4
43.5, 2.081, 419, 1 0 7
46.4, 1.956, 637, 1 1 0
52.1, 1.754, 265, 0 1 9
53.0, 1.728, 363, 1 1 5


Theoretical powder X-ray diffraction pattern
Compound: NpCr2H6
Radiation: Cu Ka
Structure: a structure optimized by DFT (GGA-PBE)
Kinematic intensities with the Lorentz-polarization factor, no thermal factor.

Structural model:
```
data_NpCr2H6
_symmetry_space_group_name_H-M 'P 6/m m m'
_symmetry_Int_Tables_number 191
_symmetry_space_group_name_Hall '-P 6 2'
_cell_length_a 4.2795
_cell_length_b 4.2795
_cell_length_c 4.4321
_cell_angle_alpha 90.00
_cell_angle_beta 90.00
_cell_angle_gamma 120.00
loop_
_atom_site_label
_atom_site_fract_x
_atom_site_fract_y
_atom_site_fract_z
Np1 0.0000 0.0000 0.0000
Cr1 0.3333 0.6667 0.5000
H1 0.0000 0.5000 0.2250
```

Main lines, sorted by position (15 to 90 degrees two-theta):
2θ (°), d_spacing, I_rel, index
24.0, 3.706, 351, 1 0 0
31.5, 2.843, 1000, 1 0 1
40.7, 2.216, 112, 0 0 2
42.2, 2.140, 312, 1 1 0
47.8, 1.902, 131, 1 0 2
53.6, 1.710, 226, 2 0 1
60.1, 1.539, 221, 1 1 2
70.5, 1.336, 198, 2 1 1